[1]
Diffraction record for Sr2V2O7. The PXRD pattern is theoretical, not measured: it uses a cell relaxed with GGA+U and Cu Kα (λ = 1.5418 Å).

Atomic structure:
```
Sr2V2O7
1.0
7.179 0.000 0.000
-0.113 7.237 0.000
-0.822 -2.045 12.982
Sr V O
8 8 28
Cartesian
0.204 1.785 4.482 Sr
1.613 4.952 1.966 Sr
1.809 0.758 8.262 Sr
1.808 4.551 11.212 Sr
4.437 0.642 1.770 Sr
4.436 4.435 4.720 Sr
4.632 0.241 11.016 Sr
6.041 3.408 8.500 Sr
0.710 5.084 5.413 V
1.092 1.225 1.157 V
0.785 1.049 11.541 V
2.590 4.527 7.980 V
3.655 0.666 5.002 V
5.460 4.143 1.441 V
5.153 3.967 11.825 V
5.535 0.108 7.569 V
-0.423 1.252 7.110 O
-0.722 4.557 10.894 O
-0.016 6.359 4.580 O
-0.211 1.494 10.221 O
-0.301 0.020 12.603 O
1.537 3.350 8.710 O
1.997 2.297 2.117 O
1.636 5.672 6.903 O
1.826 4.225 4.406 O
1.357 2.404 12.406 O
2.180 -0.063 0.714 O
2.337 1.376 5.827 O
2.086 0.124 10.878 O
3.101 -0.321 3.731 O
3.143 5.514 9.251 O
4.159 5.069 2.104 O
3.908 3.816 7.155 O
4.065 5.256 12.268 O
4.888 2.788 0.576 O
4.419 0.967 8.576 O
4.609 -0.480 6.079 O
4.248 2.895 10.865 O
4.708 1.843 4.272 O
6.546 5.173 0.379 O
6.456 3.698 2.761 O
6.261 -1.167 8.402 O
6.967 0.635 2.088 O
6.667 3.941 5.872 O
```

The 8 most intense peaks (10° ≤ 2θ ≤ 90°), by angle:
24.90 deg, d = 3.576 Å, rel. 62
26.24 deg, d = 3.396 Å, rel. 62
27.49 deg, d = 3.245 Å, rel. 100
27.85 deg, d = 3.204 Å, rel. 50
28.36 deg, d = 3.147 Å, rel. 36
29.85 deg, d = 2.993 Å, rel. 34
30.40 deg, d = 2.941 Å, rel. 33
31.36 deg, d = 2.853 Å, rel. 34

[2]
Diffraction record for SrV4O9. The PXRD pattern is theoretical, not measured: it uses a cell relaxed with GGA+U and Cu Kα (λ = 1.5418 Å).

Atomic structure:
```
SrV4O9
1.0
8.469 0.000 0.000
0.000 8.469 0.000
0.000 0.000 5.559
Sr V O
2 8 18
Cartesian
2.117 2.117 0.781 Sr
6.352 6.352 4.777 Sr
0.299 5.588 2.135 V
1.353 8.171 3.424 V
2.882 4.533 3.424 V
3.936 7.117 2.135 V
4.533 1.353 3.424 V
5.588 3.936 2.135 V
7.117 0.299 2.135 V
8.171 2.882 3.424 V
0.013 5.737 0.518 O
0.354 1.207 2.570 O
1.207 3.881 2.570 O
1.502 8.456 5.040 O
2.117 6.352 2.779 O
2.733 4.248 5.040 O
3.028 0.354 2.570 O
3.881 3.028 2.570 O
4.222 6.968 0.518 O
4.248 1.502 5.040 O
4.588 5.442 2.989 O
5.442 8.116 2.989 O
5.737 4.222 0.518 O
6.352 2.117 2.779 O
6.968 0.013 0.518 O
7.263 4.588 2.989 O
8.116 7.263 2.989 O
8.456 2.733 5.040 O
```

The 8 most intense peaks (10° ≤ 2θ ≤ 90°), by angle:
15.94 deg, d = 5.559 Å, rel. 30
21.82 deg, d = 4.074 Å, rel. 26
28.52 deg, d = 3.130 Å, rel. 100
33.46 deg, d = 2.678 Å, rel. 37
33.97 deg, d = 2.639 Å, rel. 18
48.04 deg, d = 1.894 Å, rel. 30
50.92 deg, d = 1.793 Å, rel. 19
56.82 deg, d = 1.620 Å, rel. 19

[3]
Diffraction record for Sr2VWO6. The PXRD pattern is theoretical, not measured: it uses a cell relaxed with GGA+U and Cu Kα (λ = 1.5418 Å).

Atomic structure:
```
Sr2VWO6
1.0
0.000 4.042 4.042
4.042 0.000 4.042
4.042 4.042 0.000
Sr V W O
2 1 1 6
Cartesian
2.021 2.021 2.021 Sr
6.063 6.063 6.063 Sr
0.000 0.000 0.000 V
4.042 4.042 4.042 W
4.042 4.042 2.090 O
4.042 2.090 4.042 O
5.994 4.042 4.042 O
2.090 4.042 4.042 O
4.042 5.994 4.042 O
4.042 4.042 5.994 O
```

The 8 most intense peaks (10° ≤ 2θ ≤ 90°), by angle:
19.01 deg, d = 4.668 Å, rel. 29
21.99 deg, d = 4.042 Å, rel. 7
31.29 deg, d = 2.858 Å, rel. 100
36.87 deg, d = 2.438 Å, rel. 15
44.84 deg, d = 2.021 Å, rel. 33
55.70 deg, d = 1.650 Å, rel. 40
65.29 deg, d = 1.429 Å, rel. 20
74.18 deg, d = 1.278 Å, rel. 17

[4]
Diffraction record for Sr2Y2V2O7. The PXRD pattern is theoretical, not measured: it uses a cell relaxed with GGA+U and Cu Kα (λ = 1.5418 Å).

Atomic structure:
```
Sr2Y2V2O7
1.0
-12.025 2.870 2.825
12.025 -2.870 2.825
12.025 2.870 -2.825
Sr Y V O
4 4 4 14
Cartesian
3.476 0.133 0.000 Sr
8.550 0.133 0.000 Sr
3.476 2.737 2.825 Sr
8.550 2.737 2.825 Sr
0.000 0.000 0.049 Y
12.025 0.000 0.049 Y
6.013 -0.289 2.607 Y
6.013 3.159 -0.218 Y
1.695 2.869 0.084 V
10.330 2.869 0.084 V
1.695 0.001 2.910 V
10.330 0.001 2.910 V
10.518 1.669 -1.560 O
13.533 -1.201 1.265 O
13.634 1.173 -1.063 O
10.416 -1.697 1.762 O
18.038 0.477 0.398 O
1.507 1.201 1.265 O
10.518 1.201 1.265 O
3.944 2.642 0.169 O
8.081 2.642 0.169 O
3.944 0.229 2.995 O
8.081 0.229 2.995 O
-1.609 1.697 1.762 O
13.634 1.697 1.762 O
-6.013 2.393 3.223 O
```

The 8 most intense peaks (10° ≤ 2θ ≤ 90°), by angle:
26.64 deg, d = 3.346 Å, rel. 15
31.16 deg, d = 2.870 Å, rel. 40
31.49 deg, d = 2.841 Å, rel. 100
31.67 deg, d = 2.825 Å, rel. 42
37.34 deg, d = 2.408 Å, rel. 38
45.02 deg, d = 2.014 Å, rel. 41
55.65 deg, d = 1.652 Å, rel. 18
56.29 deg, d = 1.634 Å, rel. 24

[5]
Diffraction record for Sr2YVO6. The PXRD pattern is theoretical, not measured: it uses a cell relaxed with GGA+U and Cu Kα (λ = 1.5418 Å).

Atomic structure:
```
Sr2YVO6
1.0
0.000 4.107 4.107
4.107 0.000 4.107
4.107 4.107 0.000
Sr Y V O
2 1 1 6
Cartesian
2.054 2.054 2.054 Sr
6.161 6.161 6.161 Sr
0.000 0.000 0.000 Y
4.107 4.107 4.107 V
4.107 4.107 2.209 O
4.107 2.209 4.107 O
6.005 4.107 4.107 O
2.209 4.107 4.107 O
4.107 6.005 4.107 O
4.107 4.107 6.005 O
```

The 8 most intense peaks (10° ≤ 2θ ≤ 90°), by angle:
30.79 deg, d = 2.904 Å, rel. 100
37.94 deg, d = 2.371 Å, rel. 8
44.10 deg, d = 2.054 Å, rel. 37
54.74 deg, d = 1.677 Å, rel. 38
64.13 deg, d = 1.452 Å, rel. 21
72.82 deg, d = 1.299 Å, rel. 17
81.11 deg, d = 1.186 Å, rel. 7
89.22 deg, d = 1.098 Å, rel. 21

[6]
Diffraction record for Sr2ZrVO6. The PXRD pattern is theoretical, not measured: it uses a cell relaxed with GGA+U and Cu Kα (λ = 1.5418 Å).

Atomic structure:
```
Sr2ZrVO6
1.0
-4.036 4.073 8.072
4.036 -4.073 8.072
4.036 4.073 -8.072
Sr Zr V O
8 4 4 24
Cartesian
1.993 0.000 0.000 Sr
6.079 0.000 0.000 Sr
2.018 4.093 -4.036 Sr
2.018 0.020 4.036 Sr
1.993 4.073 0.000 Sr
2.043 0.000 8.072 Sr
-2.018 4.054 4.036 Sr
2.018 4.054 4.036 Sr
4.036 2.037 -2.021 Zr
0.000 2.037 2.008 Zr
4.036 2.037 6.064 Zr
0.000 2.037 10.093 Zr
4.036 -2.037 6.038 V
4.036 2.037 2.014 V
0.000 2.037 6.058 V
0.000 6.110 2.034 V
4.036 -2.037 4.072 O
4.036 4.017 -6.022 O
1.915 2.037 -2.009 O
2.121 -2.037 6.063 O
4.036 0.044 1.982 O
4.036 -2.037 8.015 O
4.036 2.037 0.102 O
4.036 -0.057 6.022 O
2.070 2.037 2.033 O
6.002 2.037 2.033 O
0.000 0.044 6.090 O
4.036 2.037 3.913 O
0.000 2.037 4.159 O
4.036 4.029 1.982 O
-1.966 2.037 6.039 O
1.966 2.037 6.039 O
0.000 4.130 2.050 O
0.000 2.037 7.970 O
0.000 6.110 0.057 O
0.000 4.029 6.090 O
1.915 6.110 2.009 O
2.121 2.037 10.081 O
0.000 0.057 14.094 O
0.000 6.110 4.000 O
```

The 8 most intense peaks (10° ≤ 2θ ≤ 90°), by angle:
31.20 deg, d = 2.867 Å, rel. 100
31.34 deg, d = 2.854 Å, rel. 49
44.48 deg, d = 2.037 Å, rel. 19
44.92 deg, d = 2.018 Å, rel. 37
55.42 deg, d = 1.658 Å, rel. 19
55.70 deg, d = 1.650 Å, rel. 38
65.06 deg, d = 1.434 Å, rel. 22
74.27 deg, d = 1.277 Å, rel. 17

[7]
Diffraction record for Sr2ZrVO6. The PXRD pattern is theoretical, not measured: it uses a cell relaxed with GGA+U and Cu Kα (λ = 1.5418 Å).

Atomic structure:
```
Sr2ZrVO6
1.0
5.689 0.000 0.000
-2.809 4.974 0.000
-0.042 -3.157 18.660
Sr Zr V O
8 4 4 24
Cartesian
0.000 0.000 0.000 Sr
-0.150 -0.019 6.999 Sr
0.031 0.127 13.982 Sr
-0.045 3.288 2.308 Sr
-0.046 3.332 9.312 Sr
2.836 -1.530 16.352 Sr
2.736 1.644 4.634 Sr
2.811 1.733 11.656 Sr
-0.061 0.047 10.492 Zr
-0.102 3.300 5.830 Zr
2.824 1.641 1.160 Zr
2.867 1.786 15.138 Zr
-0.086 -0.009 3.498 V
-0.018 0.134 17.475 V
2.810 -1.564 12.822 V
2.766 1.661 8.155 V
-1.269 2.461 0.085 O
-1.341 1.101 9.210 O
-1.819 2.427 6.820 O
-1.414 0.621 16.317 O
0.168 -1.632 16.531 O
-0.287 1.765 4.417 O
1.264 -0.499 4.706 O
1.731 -2.338 14.170 O
1.214 -0.995 11.785 O
1.252 0.800 2.256 O
-0.037 1.652 11.846 O
2.626 -3.083 18.428 O
1.460 2.794 0.002 O
1.604 0.933 9.497 O
1.150 2.221 7.061 O
2.736 -0.102 7.222 O
1.316 0.947 16.208 O
4.225 -0.801 4.740 O
2.860 0.195 13.768 O
3.950 -0.827 11.465 O
4.452 -2.122 13.874 O
4.209 0.471 2.275 O
2.974 3.195 2.557 O
2.793 3.423 9.130 O
```

The 8 most intense peaks (10° ≤ 2θ ≤ 90°), by angle:
31.12 deg, d = 2.874 Å, rel. 32
31.29 deg, d = 2.859 Å, rel. 100
31.42 deg, d = 2.847 Å, rel. 66
44.52 deg, d = 2.035 Å, rel. 24
44.91 deg, d = 2.018 Å, rel. 23
45.14 deg, d = 2.008 Å, rel. 22
55.39 deg, d = 1.659 Å, rel. 14
55.84 deg, d = 1.646 Å, rel. 27